[1]
Diffraction record for Rb3Ac3TmO8. The powder XRD pattern is computed, not measured: it uses a DFT-relaxed cell (PBE, Alexandria) and λ = 1.5418 Å (Cu Kα).
No peak broadening, texture or thermal motion is included.

Structural model:
```
data_Rb3Ac3TmO8
_chemical_formula_sum 'Rb3 Ac3 Tm1 O8'
_cell_length_a 7.975
_cell_length_b 7.975
_cell_length_c 7.975
_cell_angle_alpha 56.39
_cell_angle_beta 56.39
_cell_angle_gamma 56.39
_symmetry_space_group_name_H-M 'P 1'
_symmetry_Int_Tables_number 1
_symmetry_space_group_name_Hall 'P 1'
loop_
_atom_site_label
_atom_site_type_symbol
_atom_site_fract_x
_atom_site_fract_y
_atom_site_fract_z
Rb1 Rb 0.000 0.500 0.500
Rb2 Rb 0.500 0.000 0.500
Rb3 Rb 0.500 0.500 0.000
Ac1 Ac 0.000 0.000 0.500
Ac2 Ac 0.000 0.500 0.000
Ac3 Ac 0.500 0.000 0.000
Tm1 Tm 0.500 0.500 0.500
O1 O 0.229 0.229 0.229
O2 O 0.250 0.710 0.710
O3 O 0.290 0.290 0.750
O4 O 0.290 0.750 0.290
O5 O 0.710 0.250 0.710
O6 O 0.710 0.710 0.250
O7 O 0.750 0.290 0.290
O8 O 0.771 0.771 0.771
```

Peak list (8 most intense, 2θ = 10–80°, in order of rising 2θ)
2θ/deg  Rel. int.
13.25  78.3
26.67  40.0
27.70  31.6
28.77  89.7
32.75  100.0
45.64  35.3
48.31  34.2
56.04  32.7



[2]
Diffraction record for Rb2Ac2UO6. The powder XRD pattern is computed, not measured: it uses a DFT-relaxed cell (PBE, Alexandria) and λ = 1.5418 Å (Cu Kα).
No peak broadening, texture or thermal motion is included.

Structural model:
```
data_Rb2Ac2UO6
_chemical_formula_sum 'Rb2 Ac2 U1 O6'
_cell_length_a 6.538
_cell_length_b 6.538
_cell_length_c 7.076
_cell_angle_alpha 97.23
_cell_angle_beta 97.23
_cell_angle_gamma 119.67
_symmetry_space_group_name_H-M 'P 1'
_symmetry_Int_Tables_number 1
_symmetry_space_group_name_Hall 'P 1'
loop_
_atom_site_label
_atom_site_type_symbol
_atom_site_fract_x
_atom_site_fract_y
_atom_site_fract_z
Rb1 Rb 0.158 0.842 0.000
Rb2 Rb 0.842 0.158 0.000
Ac1 Ac 0.335 0.665 0.500
Ac2 Ac 0.665 0.335 0.500
U1 U 0.000 0.000 0.500
O1 O 0.035 0.348 0.658
O2 O 0.240 0.240 0.335
O3 O 0.348 0.035 0.658
O4 O 0.652 0.965 0.342
O5 O 0.760 0.760 0.665
O6 O 0.965 0.652 0.342
```

Peak list (8 most intense, 2θ = 10–80°, in order of rising 2θ)
2θ/deg  Rel. int.
12.92  100.0
26.01  42.5
27.51  26.9
28.06  31.7
28.93  56.9
32.01  66.1
33.30  30.2
45.58  22.1